(1)
Theoretical powder XRD pattern of La2Si6Pd21 for CuKα, from a crystal structure in Alexandria, relaxed with GGA-PBE.

The 10 most intense peaks (5 to 70 degrees two-theta), in order of rising 2θ:
two_theta  I (rel.)
32.47  27.2
35.67  29.0
37.91  100.0
41.42  28.9
43.42  28.4
44.06  9.5
49.00  13.3
62.07  9.0
64.08  28.2
65.56  13.5

Structure:
Unit cell a=8.7192 b=8.7192 c=8.7192 alpha=60.00 beta=60.00 gamma=60.00
Atoms (fractional coordinates):
La  0.2500  0.2500  0.2500
La  0.7500  0.7500  0.7500
Si  0.2362  0.2362  0.7638
Si  0.2362  0.7638  0.2362
Si  0.2362  0.7638  0.7638
Si  0.7638  0.2362  0.2362
Si  0.7638  0.2362  0.7638
Si  0.7638  0.7638  0.2362
Pd  0.1145  0.1145  0.1145
Pd  0.1145  0.1145  0.6564
Pd  0.1145  0.6564  0.1145
Pd  0.1556  0.5000  0.5000
Pd  0.1556  0.5000  0.8444
Pd  0.1556  0.8444  0.5000
Pd  0.3436  0.8855  0.8855
Pd  0.5000  0.1556  0.5000
Pd  0.5000  0.1556  0.8444
Pd  0.5000  0.5000  0.1556
Pd  0.5000  0.5000  0.5000
Pd  0.5000  0.5000  0.8444
Pd  0.5000  0.8444  0.1556
Pd  0.5000  0.8444  0.5000
Pd  0.6564  0.1145  0.1145
Pd  0.8444  0.1556  0.5000
Pd  0.8444  0.5000  0.1556
Pd  0.8444  0.5000  0.5000
Pd  0.8855  0.3436  0.8855
Pd  0.8855  0.8855  0.3436
Pd  0.8855  0.8855  0.8855

***

(2)
Theoretical powder XRD pattern of Cd2GeBPt6 for CuKα, from a crystal structure in Alexandria, relaxed with GGA-PBE.

The 10 most intense peaks (5 to 70 degrees two-theta), in order of rising 2θ:
two_theta  I (rel.)
14.04  20.7
28.30  67.3
28.98  29.9
37.00  42.7
37.75  100.0
38.84  46.5
39.14  31.2
42.07  55.7
42.28  53.7
43.46  38.0

Structure:
Unit cell a=5.6221 b=5.6371 c=6.9210 alpha=69.02 beta=69.25 gamma=60.24
Atoms (fractional coordinates):
Cd  0.2481  0.2571  0.1793
Cd  0.7519  0.7429  0.8207
Ge  0.0000  0.0000  0.0000
B  0.5000  0.5000  0.5000
Pt  0.1817  0.7059  0.3308
Pt  0.2842  0.2720  0.7421
Pt  0.2971  0.8098  0.6748
Pt  0.7029  0.1902  0.3252
Pt  0.7158  0.7280  0.2579
Pt  0.8183  0.2941  0.6692

***

(3)
Theoretical powder XRD pattern of Fe5Co for CuKα, from a crystal structure in Alexandria, relaxed with GGA-PBE.

The 10 most intense peaks (5 to 70 degrees two-theta), in order of rising 2θ:
two_theta  I (rel.)
39.07  4.0
43.55  48.9
44.01  100.0
44.96  23.1
45.43  86.5
50.72  5.5
53.63  25.0
61.43  1.9
64.37  6.0
65.83  13.3

Structure:
Unit cell a=3.9933 b=7.2018 c=4.8671 alpha=90.00 beta=90.00 gamma=90.00
Atoms (fractional coordinates):
Fe  0.2500  0.0779  0.0843
Fe  0.2500  0.0807  0.5853
Fe  0.2500  0.4193  0.5853
Fe  0.2500  0.4221  0.0843
Fe  0.2500  0.7500  0.7231
Fe  0.7500  0.2500  0.2769
Fe  0.7500  0.5779  0.9157
Fe  0.7500  0.5807  0.4147
Fe  0.7500  0.9193  0.4147
Fe  0.7500  0.9221  0.9157
Co  0.2500  0.7500  0.2249
Co  0.7500  0.2500  0.7751